(1)
For Al5Cr4, DFT lattice parameters and positions (GGA-PBE) gives the calculated PXRD pattern in this record (Cu Kα, 1.54184 Å).

Atomic structure:
```
Al5Cr4
1.0
7.5553 0.0000 0.0000
-3.7777 6.5431 0.0000
0.0000 0.0000 5.1893
Al Cr
10 8
direct
0.0000 0.2923 0.2500
0.0000 0.7077 0.7500
0.2923 0.0000 0.2500
0.2923 0.2923 0.7500
0.3333 0.6667 0.0000
0.3333 0.6667 0.5000
0.6667 0.3333 0.0000
0.6667 0.3333 0.5000
0.7077 0.0000 0.7500
0.7077 0.7077 0.2500
0.0000 0.0000 0.0000
0.0000 0.0000 0.5000
0.0000 0.3720 0.7500
0.0000 0.6280 0.2500
0.3720 0.0000 0.7500
0.3720 0.3720 0.2500
0.6280 0.0000 0.2500
0.6280 0.6280 0.7500
```

Top 10 peaks for 10 to 80 degrees two-theta, in order of rising 2θ:
- 27.26 deg, I 11
- 29.24 deg, I 25
- 34.57 deg, I 11
- 40.40 deg, I 31
- 41.40 deg, I 100
- 42.26 deg, I 98
- 53.49 deg, I 14
- 60.64 deg, I 25
- 76.08 deg, I 26
- 79.72 deg, I 10

=====

(2)
For Al5Cr4, DFT lattice parameters and positions (GGA-PBE) gives the calculated PXRD pattern in this record (Cu Kα, 1.54184 Å).

Atomic structure:
```
Al5Cr4
1.0
-4.4877 4.4877 1.5045
4.4877 -4.4877 1.5045
4.4877 4.4877 -1.5045
Al Cr
5 4
direct
0.0000 0.0000 0.0000
0.3328 0.3328 0.6655
0.3328 0.6672 0.0000
0.6672 0.3328 0.0000
0.6672 0.6672 0.3345
0.0000 0.3451 0.3451
0.0000 0.6549 0.6549
0.3451 0.0000 0.3451
0.6549 0.0000 0.6549
```

Top 10 peaks for 10 to 80 degrees two-theta, in order of rising 2θ:
- 13.95 deg, I 32
- 19.78 deg, I 5
- 37.35 deg, I 5
- 42.62 deg, I 100
- 42.74 deg, I 49
- 51.84 deg, I 6
- 61.65 deg, I 8
- 62.04 deg, I 14
- 77.92 deg, I 15
- 78.19 deg, I 28

=====

(3)
For AlCr2, DFT lattice parameters and positions (GGA-PBE) gives the calculated PXRD pattern in this record (Cu Kα, 1.54184 Å).

Atomic structure:
```
AlCr2
1.0
1.4884 -6.0192 0.0000
1.4884 6.0192 0.0000
0.0000 0.0000 4.2403
Al Cr
2 4
direct
0.0873 0.9127 0.7500
0.9127 0.0873 0.2500
0.2325 0.7675 0.2500
0.4096 0.5904 0.7500
0.5904 0.4096 0.2500
0.7675 0.2325 0.7500
```

Top 10 peaks for 10 to 80 degrees two-theta, in order of rising 2θ:
- 14.72 deg, I 7
- 25.70 deg, I 17
- 42.64 deg, I 28
- 43.45 deg, I 100
- 45.19 deg, I 19
- 48.64 deg, I 6
- 62.39 deg, I 9
- 63.88 deg, I 12
- 78.52 deg, I 8
- 78.63 deg, I 15

=====

(4)
For Al3Cr, DFT lattice parameters and positions (GGA-PBE) gives the calculated PXRD pattern in this record (Cu Kα, 1.54184 Å).

Atomic structure:
```
Al3Cr
1.0
5.3020 0.0000 0.0000
0.0000 13.3777 0.0000
0.0000 0.0000 4.8435
Al Cr
18 6
direct
0.9998 0.2500 0.0425
0.0002 0.7500 0.9575
0.0015 0.0845 0.3516
0.0015 0.4155 0.3516
0.2500 0.2500 0.5678
0.2500 0.5845 0.1529
0.2500 0.9155 0.1529
0.4985 0.0845 0.3516
0.4985 0.4155 0.3516
0.5002 0.2500 0.0425
0.4998 0.7500 0.9575
0.5015 0.5845 0.6484
0.5015 0.9155 0.6484
0.7500 0.0845 0.8471
0.7500 0.4155 0.8471
0.7500 0.7500 0.4322
0.9985 0.5845 0.6484
0.9985 0.9155 0.6484
0.2500 0.0781 0.8587
0.2500 0.4219 0.8587
0.2500 0.7500 0.4530
0.7500 0.2500 0.5470
0.7500 0.5781 0.1413
0.7500 0.9219 0.1413
```

Top 10 peaks for 10 to 80 degrees two-theta, in order of rising 2θ:
- 26.11 deg, I 23
- 39.33 deg, I 48
- 39.58 deg, I 23
- 40.46 deg, I 83
- 41.09 deg, I 88
- 42.48 deg, I 100
- 43.91 deg, I 48
- 47.63 deg, I 52
- 52.11 deg, I 23
- 67.98 deg, I 22

=====

(5)
For Al3Cr, DFT lattice parameters and positions (GGA-PBE) gives the calculated PXRD pattern in this record (Cu Kα, 1.54184 Å).

Atomic structure:
```
Al3Cr
1.0
-1.9127 1.9127 8.0526
1.9127 -1.9127 8.0526
1.9127 1.9127 -8.0526
Al Cr
6 2
direct
0.0000 0.5000 0.5000
0.1234 0.1234 0.0000
0.2500 0.7500 0.5000
0.5000 0.0000 0.5000
0.7500 0.2500 0.5000
0.8766 0.8766 0.0000
0.3762 0.3762 0.0000
0.6238 0.6238 0.0000
```

Top 10 peaks for 10 to 80 degrees two-theta, in order of rising 2θ:
- 22.08 deg, I 5
- 23.91 deg, I 8
- 28.65 deg, I 5
- 33.12 deg, I 3
- 40.16 deg, I 100
- 45.03 deg, I 18
- 47.54 deg, I 30
- 67.55 deg, I 20
- 69.50 deg, I 9
- 79.77 deg, I 12

=====

(6)
For Al17Cr12, DFT lattice parameters and positions (GGA-PBE) gives the calculated PXRD pattern in this record (Cu Kα, 1.54184 Å).

Atomic structure:
```
Al17Cr12
1.0
-4.6624 4.6624 4.6624
4.6624 -4.6624 4.6624
4.6624 4.6624 -4.6624
Al Cr
17 12
direct
0.0000 0.0000 0.0000
0.0000 0.0000 0.3495
0.0000 0.3204 0.6040
0.0000 0.3495 0.0000
0.0000 0.6040 0.3204
0.2836 0.6796 0.6796
0.3204 0.0000 0.6040
0.3204 0.6040 0.0000
0.3495 0.0000 0.0000
0.3960 0.3960 0.7164
0.3960 0.7164 0.3960
0.6040 0.0000 0.3204
0.6040 0.3204 0.0000
0.6505 0.6505 0.6505
0.6796 0.2836 0.6796
0.6796 0.6796 0.2836
0.7164 0.3960 0.3960
0.0000 0.6485 0.8165
0.0000 0.8165 0.6485
0.1680 0.3515 0.3515
0.1835 0.1835 0.8320
0.1835 0.8320 0.1835
0.3515 0.1680 0.3515
0.3515 0.3515 0.1680
0.6485 0.0000 0.8165
0.6485 0.8165 0.0000
0.8165 0.0000 0.6485
0.8165 0.6485 0.0000
0.8320 0.1835 0.1835
```

Top 10 peaks for 10 to 80 degrees two-theta, in order of rising 2θ:
- 13.43 deg, I 18
- 23.37 deg, I 29
- 27.05 deg, I 9
- 41.07 deg, I 100
- 45.63 deg, I 49
- 47.78 deg, I 11
- 49.87 deg, I 20
- 53.85 deg, I 7
- 71.55 deg, I 7
- 74.82 deg, I 29